Calculated X-ray diffraction stick pattern of SmMoO5 for λ = 1.5418 Å (Cu Kα), from a PBE+U-relaxed structure.
Lines closer than 0.1° are merged.

```
data_SmMoO5
_cell_length_a 5.4417
_cell_length_b 12.8004
_cell_length_c 7.0943
_cell_angle_alpha 90.00
_cell_angle_beta 116.54
_cell_angle_gamma 90.00
_symmetry_space_group_name_H-M 'P 1'
_symmetry_Int_Tables_number 1
_symmetry_space_group_name_Hall 'P 1'
loop_
_atom_site_label
_atom_site_fract_x
_atom_site_fract_y
_atom_site_fract_z
Sm1 0.1580 0.0604 0.2847
Sm2 0.1580 0.4396 0.7847
Sm3 0.8420 0.5604 0.2153
Sm4 0.8420 0.9396 0.7153
Mo1 0.4153 0.1353 0.8550
Mo2 0.4153 0.3647 0.3550
Mo3 0.5847 0.6353 0.6450
Mo4 0.5847 0.8647 0.1450
O1 0.0419 0.5549 0.9858
O2 0.0419 0.9451 0.4858
O3 0.2051 0.0607 0.9550
O4 0.2051 0.4393 0.4550
O5 0.2694 0.6554 0.4206
O6 0.2694 0.8446 0.9206
O7 0.2807 0.2376 0.2719
O8 0.2807 0.2624 0.7719
O9 0.4876 0.5752 0.8383
O10 0.4876 0.9248 0.3383
O11 0.5124 0.0752 0.6617
O12 0.5124 0.4248 0.1617
O13 0.7193 0.7376 0.2281
O14 0.7193 0.7624 0.7281
O15 0.7306 0.1554 0.0794
O16 0.7306 0.3446 0.5794
O17 0.7949 0.5607 0.5450
O18 0.7949 0.9393 0.0450
O19 0.9581 0.0549 0.5142
O20 0.9581 0.4451 0.0142
```

Top 8 peaks for 2θ = 10–90°, by intensity:
- 13.84 deg, 6.400 Å, I = 100
- 22.23 deg, 4.000 Å, I = 80
- 27.82 deg, 3.207 Å, I = 68
- 19.51 deg, 4.550 Å, I = 65
- 28.51 deg, 3.130 Å, I = 57
- 31.03 deg, 2.882 Å, I = 49
- 27.20 deg, 3.279 Å, I = 49
- 33.76 deg, 2.655 Å, I = 47

***

Calculated X-ray diffraction stick pattern of Sm2Mo2O7 for λ = 1.5418 Å (Cu Kα), from a PBE+U-relaxed structure.
Lines closer than 0.1° are merged.

```
data_Sm2Mo2O7
_cell_length_a 7.4163
_cell_length_b 7.4163
_cell_length_c 7.4163
_cell_angle_alpha 60.00
_cell_angle_beta 60.00
_cell_angle_gamma 60.00
_symmetry_space_group_name_H-M 'P 1'
_symmetry_Int_Tables_number 1
_symmetry_space_group_name_Hall 'P 1'
loop_
_atom_site_label
_atom_site_fract_x
_atom_site_fract_y
_atom_site_fract_z
Sm1 0.0000 0.0000 0.0000
Sm2 0.0000 0.0000 0.5000
Sm3 0.0000 0.5000 0.0000
Sm4 0.5000 0.0000 0.0000
Mo1 0.0000 0.5000 0.5000
Mo2 0.5000 0.0000 0.5000
Mo3 0.5000 0.5000 0.0000
Mo4 0.5000 0.5000 0.5000
O1 0.1335 0.1335 0.6165
O2 0.1335 0.6165 0.1335
O3 0.1335 0.6165 0.6165
O4 0.3750 0.3750 0.3750
O5 0.3835 0.3835 0.8665
O6 0.3835 0.8665 0.3835
O7 0.3835 0.8665 0.8665
O8 0.6165 0.1335 0.1335
O9 0.6165 0.1335 0.6165
O10 0.6165 0.6165 0.1335
O11 0.6250 0.6250 0.6250
O12 0.8665 0.3835 0.3835
O13 0.8665 0.3835 0.8665
O14 0.8665 0.8665 0.3835
```

Top 8 peaks for 2θ = 10–90°, by intensity:
- 29.50 deg, 3.028 Å, I = 100
- 49.14 deg, 1.854 Å, I = 52
- 58.36 deg, 1.581 Å, I = 43
- 34.20 deg, 2.622 Å, I = 30
- 79.70 deg, 1.203 Å, I = 17
- 82.21 deg, 1.173 Å, I = 12
- 61.23 deg, 1.514 Å, I = 8
- 72.03 deg, 1.311 Å, I = 8

***

Calculated X-ray diffraction stick pattern of Sm2Mo2O7 for λ = 1.5418 Å (Cu Kα), from a PBE+U-relaxed structure.
Lines closer than 0.1° are merged.

```
data_Sm2Mo2O7
_cell_length_a 7.4551
_cell_length_b 7.4551
_cell_length_c 7.4551
_cell_angle_alpha 60.00
_cell_angle_beta 60.00
_cell_angle_gamma 60.00
_symmetry_space_group_name_H-M 'P 1'
_symmetry_Int_Tables_number 1
_symmetry_space_group_name_Hall 'P 1'
loop_
_atom_site_label
_atom_site_fract_x
_atom_site_fract_y
_atom_site_fract_z
Sm1 0.0000 0.0000 0.0000
Sm2 0.0000 0.0000 0.5000
Sm3 0.0000 0.5000 0.0000
Sm4 0.5000 0.0000 0.0000
Mo1 0.0000 0.5000 0.5000
Mo2 0.5000 0.0000 0.5000
Mo3 0.5000 0.5000 0.0000
Mo4 0.5000 0.5000 0.5000
O1 0.1250 0.1250 0.1250
O2 0.1648 0.1648 0.5852
O3 0.1648 0.5852 0.1648
O4 0.1648 0.5852 0.5852
O5 0.4148 0.4148 0.8352
O6 0.4148 0.8352 0.4148
O7 0.4148 0.8352 0.8352
O8 0.5852 0.1648 0.1648
O9 0.5852 0.1648 0.5852
O10 0.5852 0.5852 0.1648
O11 0.8352 0.4148 0.4148
O12 0.8352 0.4148 0.8352
O13 0.8352 0.8352 0.4148
O14 0.8750 0.8750 0.8750
```

Top 8 peaks for 2θ = 10–90°, by intensity:
- 29.35 deg, 3.044 Å, I = 100
- 48.87 deg, 1.864 Å, I = 48
- 58.03 deg, 1.589 Å, I = 43
- 34.01 deg, 2.636 Å, I = 32
- 79.20 deg, 1.209 Å, I = 17
- 81.69 deg, 1.179 Å, I = 14
- 60.87 deg, 1.522 Å, I = 10
- 71.60 deg, 1.318 Å, I = 7

***

Calculated X-ray diffraction stick pattern of Sm2Mo2O7 for λ = 1.5418 Å (Cu Kα), from a PBE+U-relaxed structure.
Lines closer than 0.1° are merged.

```
data_Sm2Mo2O7
_cell_length_a 7.2378
_cell_length_b 7.6115
_cell_length_c 10.4358
_cell_angle_alpha 90.00
_cell_angle_beta 90.00
_cell_angle_gamma 90.00
_symmetry_space_group_name_H-M 'P 1'
_symmetry_Int_Tables_number 1
_symmetry_space_group_name_Hall 'P 1'
loop_
_atom_site_label
_atom_site_fract_x
_atom_site_fract_y
_atom_site_fract_z
Sm1 0.0000 0.0057 0.0000
Sm2 0.0000 0.5075 0.9929
Sm3 0.2494 0.7516 0.7469
Sm4 0.2506 0.2484 0.2469
Sm5 0.5000 0.4925 0.4929
Sm6 0.5000 0.9943 0.5000
Sm7 0.7494 0.2484 0.2469
Sm8 0.7506 0.7516 0.7469
Mo1 0.0000 0.4861 0.5156
Mo2 0.0000 0.9862 0.4797
Mo3 0.2502 0.2519 0.7476
Mo4 0.2498 0.7481 0.2476
Mo5 0.5000 0.0138 0.9797
Mo6 0.5000 0.5139 0.0156
Mo7 0.7498 0.2519 0.7476
Mo8 0.7502 0.7481 0.2476
O1 0.0000 0.2261 0.3990
O2 0.0000 0.2622 0.8687
O3 0.0000 0.2951 0.6398
O4 0.0000 0.7263 0.6005
O5 0.0000 0.7624 0.1283
O6 0.0000 0.7884 0.3589
O7 0.2026 0.0150 0.6164
O8 0.2040 0.5133 0.3755
O9 0.2489 0.5075 0.1265
O10 0.2490 0.9885 0.3653
O11 0.2510 0.0115 0.8653
O12 0.2511 0.4925 0.6265
O13 0.2960 0.4867 0.8755
O14 0.2974 0.9850 0.1164
O15 0.5000 0.2116 0.8589
O16 0.5000 0.2376 0.6283
O17 0.5000 0.2737 0.1005
O18 0.5000 0.7049 0.1398
O19 0.5000 0.7378 0.3687
O20 0.5000 0.7739 0.8990
O21 0.7026 0.9850 0.1164
O22 0.7040 0.4867 0.8755
O23 0.7490 0.0115 0.8653
O24 0.7489 0.4925 0.6265
O25 0.7511 0.5075 0.1265
O26 0.7510 0.9885 0.3653
O27 0.7960 0.5133 0.3755
O28 0.7974 0.0150 0.6164
```

Top 8 peaks for 2θ = 10–90°, by intensity:
- 29.04 deg, 3.075 Å, I = 100
- 30.05 deg, 2.974 Å, I = 93
- 49.27 deg, 1.850 Å, I = 63
- 34.19 deg, 2.623 Å, I = 40
- 57.50 deg, 1.603 Å, I = 28
- 59.25 deg, 1.559 Å, I = 26
- 34.37 deg, 2.609 Å, I = 18
- 47.80 deg, 1.903 Å, I = 17

***

Calculated X-ray diffraction stick pattern of Sm2TeMo6O44 for λ = 1.5418 Å (Cu Kα), from a PBE+U-relaxed structure.
Lines closer than 0.1° are merged.

```
data_Sm2TeMo6O44
_cell_length_a 9.1431
_cell_length_b 10.0536
_cell_length_c 11.0609
_cell_angle_alpha 80.82
_cell_angle_beta 85.90
_cell_angle_gamma 68.80
_symmetry_space_group_name_H-M 'P 1'
_symmetry_Int_Tables_number 1
_symmetry_space_group_name_Hall 'P 1'
loop_
_atom_site_label
_atom_site_fract_x
_atom_site_fract_y
_atom_site_fract_z
Sm1 0.2353 0.2869 0.1638
Sm2 0.7647 0.7131 0.8362
Te1 0.0000 0.0000 0.0000
Mo1 0.0945 0.0925 0.7001
Mo2 0.2246 0.6858 0.1694
Mo3 0.3204 0.7698 0.8531
Mo4 0.6796 0.2302 0.1469
Mo5 0.7754 0.3142 0.8306
Mo6 0.9055 0.9075 0.2999
O1 0.9996 0.2642 0.3307
O2 0.0004 0.7358 0.6693
O3 0.0174 0.7227 0.2387
O4 0.0230 0.6044 0.6878
O5 0.0243 0.8875 0.4209
O6 0.0478 0.2577 0.0772
O7 0.0664 0.7857 0.9640
O8 0.1160 0.9215 0.1509
O9 0.1838 0.0009 0.9043
O10 0.1838 0.4978 0.4822
O11 0.1870 0.8764 0.7223
O12 0.2226 0.3780 0.4497
O13 0.2397 0.5064 0.1417
O14 0.2572 0.1284 0.6372
O15 0.3090 0.2908 0.9331
O16 0.3186 0.9992 0.3816
O17 0.3203 0.0259 0.2590
O18 0.3416 0.6590 0.2911
O19 0.3442 0.5997 0.8263
O20 0.3469 0.7296 0.0303
O21 0.3717 0.1899 0.8740
O22 0.3837 0.8708 0.4292
O23 0.4954 0.2054 0.1907
O24 0.5046 0.7946 0.8093
O25 0.6163 0.1292 0.5708
O26 0.6283 0.8101 0.1260
O27 0.6531 0.2704 0.9697
O28 0.6558 0.4003 0.1737
O29 0.6584 0.3410 0.7089
O30 0.6797 0.9741 0.7410
O31 0.6814 0.0008 0.6184
O32 0.6910 0.7092 0.0669
O33 0.7428 0.8716 0.3628
O34 0.7603 0.4936 0.8583
O35 0.7774 0.6220 0.5503
O36 0.8130 0.1236 0.2777
O37 0.8162 0.5022 0.5178
O38 0.8162 0.9991 0.0957
O39 0.8840 0.0785 0.8491
O40 0.9336 0.2143 0.0360
O41 0.9522 0.7423 0.9228
O42 0.9757 0.1125 0.5791
O43 0.9770 0.3956 0.3122
O44 0.9826 0.2773 0.7613
```

Top 8 peaks for 2θ = 10–90°, by intensity:
- 13.02 deg, 6.799 Å, I = 100
- 10.38 deg, 8.523 Å, I = 58
- 23.13 deg, 3.845 Å, I = 57
- 28.89 deg, 3.091 Å, I = 52
- 26.74 deg, 3.334 Å, I = 38
- 32.60 deg, 2.746 Å, I = 36
- 18.75 deg, 4.733 Å, I = 35
- 21.87 deg, 4.064 Å, I = 29

***

Please write out number 3 again, unchanged.
Calculated X-ray diffraction stick pattern of Sm2Mo2O7 for λ = 1.5418 Å (Cu Kα), from a PBE+U-relaxed structure.
Lines closer than 0.1° are merged.

```
data_Sm2Mo2O7
_cell_length_a 7.4551
_cell_length_b 7.4551
_cell_length_c 7.4551
_cell_angle_alpha 60.00
_cell_angle_beta 60.00
_cell_angle_gamma 60.00
_symmetry_space_group_name_H-M 'P 1'
_symmetry_Int_Tables_number 1
_symmetry_space_group_name_Hall 'P 1'
loop_
_atom_site_label
_atom_site_fract_x
_atom_site_fract_y
_atom_site_fract_z
Sm1 0.0000 0.0000 0.0000
Sm2 0.0000 0.0000 0.5000
Sm3 0.0000 0.5000 0.0000
Sm4 0.5000 0.0000 0.0000
Mo1 0.0000 0.5000 0.5000
Mo2 0.5000 0.0000 0.5000
Mo3 0.5000 0.5000 0.0000
Mo4 0.5000 0.5000 0.5000
O1 0.1250 0.1250 0.1250
O2 0.1648 0.1648 0.5852
O3 0.1648 0.5852 0.1648
O4 0.1648 0.5852 0.5852
O5 0.4148 0.4148 0.8352
O6 0.4148 0.8352 0.4148
O7 0.4148 0.8352 0.8352
O8 0.5852 0.1648 0.1648
O9 0.5852 0.1648 0.5852
O10 0.5852 0.5852 0.1648
O11 0.8352 0.4148 0.4148
O12 0.8352 0.4148 0.8352
O13 0.8352 0.8352 0.4148
O14 0.8750 0.8750 0.8750
```

Top 8 peaks for 2θ = 10–90°, by intensity:
- 29.35 deg, 3.044 Å, I = 100
- 48.87 deg, 1.864 Å, I = 48
- 58.03 deg, 1.589 Å, I = 43
- 34.01 deg, 2.636 Å, I = 32
- 79.20 deg, 1.209 Å, I = 17
- 81.69 deg, 1.179 Å, I = 14
- 60.87 deg, 1.522 Å, I = 10
- 71.60 deg, 1.318 Å, I = 7